Structure and simulated powder XRD pattern of PmSmRu (a crystal structure in Alexandria, relaxed with PBE; Cu Kα).
No peak broadening, texture or thermal motion is included.

Largest 10 diffraction maxima, in order of falling intensity, 10° ≤ 2θ ≤ 90°:
d/Å  two_theta  Rel. int.
2.440  36.8  100
1.409  66.3  35
3.451  25.8  29
1.726  53.1  17
3.985  22.3  17
1.091  89.9  16
1.543  59.9  12
1.220  78.4  11
1.993  45.5  9
2.081  43.5  8

Structure:
```
data_PmSmRu
_cell_length_a 6.9025
_cell_length_b 6.9025
_cell_length_c 6.9025
_cell_angle_alpha 90.00
_cell_angle_beta 90.00
_cell_angle_gamma 90.00
_symmetry_space_group_name_H-M 'F -4 3 m'
_symmetry_Int_Tables_number 216
_symmetry_space_group_name_Hall 'F -4 2 3'
loop_
_atom_site_label
_atom_site_fract_x
_atom_site_fract_y
_atom_site_fract_z
Pm1 0.0000 0.0000 0.0000
Sm1 0.0000 0.0000 0.5000
Ru1 0.2500 0.2500 0.2500
```

Structure and simulated powder XRD pattern of CsGa6Sn6 (a crystal structure in Alexandria, relaxed with PBE; Cu Kα).
No peak broadening, texture or thermal motion is included.

Largest 10 diffraction maxima, in order of falling intensity, 10° ≤ 2θ ≤ 90°:
d/Å  two_theta  Rel. int.
3.148  28.4  100
2.061  43.9  61
2.226  40.5  52
5.452  16.3  47
3.855  23.1  42
1.928  47.1  39
1.363  68.9  25
3.448  25.8  24
1.162  83.1  20
1.251  76.1  19

Structure:
```
data_CsGa6Sn6
_cell_length_a 7.7103
_cell_length_b 7.7103
_cell_length_c 7.7103
_cell_angle_alpha 90.00
_cell_angle_beta 90.00
_cell_angle_gamma 90.00
_symmetry_space_group_name_H-M 'P m -3'
_symmetry_Int_Tables_number 200
_symmetry_space_group_name_Hall '-P 2 2 3'
loop_
_atom_site_label
_atom_site_fract_x
_atom_site_fract_y
_atom_site_fract_z
Cs1 0.0000 0.0000 0.0000
Ga1 0.0000 0.2489 0.5000
Sn1 0.0000 0.5000 0.2518
```

Structure and simulated powder XRD pattern of KReOsO6 (a crystal structure in Alexandria, relaxed with PBE; Cu Kα).
No peak broadening, texture or thermal motion is included.

Largest 10 diffraction maxima, in order of falling intensity, 10° ≤ 2θ ≤ 90°:
d/Å  two_theta  Rel. int.
5.817  15.2  100
3.629  24.5  79
1.971  46.0  51
2.435  36.9  50
2.681  33.4  43
4.644  19.1  34
1.571  58.8  18
1.680  54.6  16
2.909  30.7  16
2.157  41.9  15

Structure:
```
data_KReOsO6
_cell_length_a 5.3624
_cell_length_b 5.3624
_cell_length_c 5.8172
_cell_angle_alpha 90.00
_cell_angle_beta 90.00
_cell_angle_gamma 120.00
_symmetry_space_group_name_H-M 'P 3 1 2'
_symmetry_Int_Tables_number 149
loop_
_symmetry_equiv_pos_as_xyz
'x,y,z'
'-y,x-y,z'
'-x+y,-x,z'
'-y,-x,-z'
'-x+y,y,-z'
'x,x-y,-z'
loop_
_atom_site_label
_atom_site_fract_x
_atom_site_fract_y
_atom_site_fract_z
K1 0.0000 0.0000 0.0000
Re1 0.3333 0.6667 0.5000
Os1 0.6667 0.3333 0.5000
O1 0.0059 0.3938 0.6787
```

Structure and simulated powder XRD pattern of CaC6 (a crystal structure in Alexandria, relaxed with PBE; Cu Kα).
No peak broadening, texture or thermal motion is included.

Largest 10 diffraction maxima, in order of falling intensity, 10° ≤ 2θ ≤ 90°:
d/Å  two_theta  Rel. int.
3.364  26.5  100
2.837  31.5  68
2.433  37.0  44
3.529  25.2  39
2.443  36.8  20
1.979  45.8  16
1.968  46.1  16
1.765  51.8  14
1.563  59.1  14
6.728  13.2  13

Structure:
```
data_CaC6
_cell_length_a 5.0980
_cell_length_b 3.5294
_cell_length_c 7.1700
_cell_angle_alpha 90.00
_cell_angle_beta 110.22
_cell_angle_gamma 90.00
_symmetry_space_group_name_H-M 'P 1 2/m 1'
_symmetry_Int_Tables_number 10
loop_
_symmetry_equiv_pos_as_xyz
'x,y,z'
'-x,-y,-z'
'-x,y,-z'
'x,-y,z'
loop_
_atom_site_label
_atom_site_fract_x
_atom_site_fract_y
_atom_site_fract_z
Ca1 0.0000 0.0000 0.0000
C1 0.1247 0.0000 0.4954
C2 0.3709 0.0000 0.4955
C3 0.3758 0.5000 0.0000
```

Structure and simulated powder XRD pattern of La2NdY7 (a crystal structure in Alexandria, relaxed with PBE; Cu Kα).
No peak broadening, texture or thermal motion is included.

Largest 10 diffraction maxima, in order of falling intensity, 10° ≤ 2θ ≤ 90°:
d/Å  two_theta  Rel. int.
2.955  30.2  100
1.805  50.6  17
2.573  34.9  17
2.565  35.0  17
2.540  35.3  16
1.549  59.7  14
1.546  59.8  14
1.535  60.3  14
1.477  62.9  12
1.816  50.2  12

Structure:
```
data_La2NdY7
_cell_length_a 18.4972
_cell_length_b 5.1293
_cell_length_c 7.2241
_cell_angle_alpha 90.00
_cell_angle_beta 102.01
_cell_angle_gamma 90.00
_symmetry_space_group_name_H-M 'C 1 2/m 1'
_symmetry_Int_Tables_number 12
loop_
_symmetry_equiv_pos_as_xyz
'x,y,z'
'-x,-y,-z'
'-x,y,-z'
'x,-y,z'
'x+1/2,y+1/2,z'
'-x+1/2,-y+1/2,-z'
'-x+1/2,y+1/2,-z'
'x+1/2,-y+1/2,z'
loop_
_atom_site_label
_atom_site_fract_x
_atom_site_fract_y
_atom_site_fract_z
La1 0.1989 0.0000 0.1013
Nd1 0.0000 0.0000 0.5000
Y1 0.0000 0.0000 0.0000
Y2 0.0994 0.5000 0.3024
Y3 0.0986 0.5000 0.7995
Y4 0.1992 0.0000 0.6002
```

Structure and simulated powder XRD pattern of LiDy2Ga2 (a crystal structure in Alexandria, relaxed with PBE; Cu Kα).
No peak broadening, texture or thermal motion is included.

Largest 10 diffraction maxima, in order of falling intensity, 10° ≤ 2θ ≤ 90°:
d/Å  two_theta  Rel. int.
2.993  29.9  100
3.179  28.1  82
3.040  29.4  75
2.493  36.0  62
2.179  41.4  60
3.542  25.1  60
2.133  42.4  58
2.736  32.7  52
2.197  41.1  45
1.771  51.6  43

Structure:
```
data_LiDy2Ga2
_cell_length_a 6.3585
_cell_length_b 12.1589
_cell_length_c 5.9852
_cell_angle_alpha 90.00
_cell_angle_beta 90.00
_cell_angle_gamma 90.00
_symmetry_space_group_name_H-M 'I b a m'
_symmetry_Int_Tables_number 72
_symmetry_space_group_name_Hall '-I 2 2c'
loop_
_atom_site_label
_atom_site_fract_x
_atom_site_fract_y
_atom_site_fract_z
Li1 0.0000 0.0000 0.2500
Dy1 0.1960 0.3505 0.0000
Ga1 0.2279 0.1084 0.0000
```

Structure and simulated powder XRD pattern of Tb7Y2Sc2 (a crystal structure in Alexandria, relaxed with PBE; Cu Kα).
No peak broadening, texture or thermal motion is included.

Largest 10 diffraction maxima, in order of falling intensity, 10° ≤ 2θ ≤ 90°:
d/Å  two_theta  Rel. int.
2.736  32.7  100
2.604  34.4  90
2.796  32.0  56
2.875  31.1  41
3.413  26.1  25
2.127  42.5  23
3.017  29.6  22
3.010  29.7  19
1.506  61.6  17
1.632  56.4  17

Structure:
```
data_Tb7Y2Sc2
_cell_length_a 3.5742
_cell_length_b 9.8501
_cell_length_c 10.9000
_cell_angle_alpha 108.81
_cell_angle_beta 99.39
_cell_angle_gamma 100.41
_symmetry_space_group_name_H-M 'P -1'
_symmetry_Int_Tables_number 2
loop_
_symmetry_equiv_pos_as_xyz
'x,y,z'
'-x,-y,-z'
loop_
_atom_site_label
_atom_site_fract_x
_atom_site_fract_y
_atom_site_fract_z
Tb1 0.0000 0.0000 0.0000
Tb2 0.0215 0.6735 0.3699
Tb3 0.2069 0.0360 0.3779
Tb4 0.2599 0.4246 0.0970
Y1 0.2203 0.7230 0.7153
Sc1 0.4710 0.7890 0.1520
```

Structure and simulated powder XRD pattern of CeZn3P3 (a crystal structure in Alexandria, relaxed with PBE; Cu Kα).
No peak broadening, texture or thermal motion is included.

Largest 10 diffraction maxima, in order of falling intensity, 10° ≤ 2θ ≤ 90°:
d/Å  two_theta  Rel. int.
3.300  27.0  100
2.019  44.9  76
2.862  31.3  67
2.407  37.4  58
1.568  58.9  44
2.628  34.1  40
2.489  36.1  31
1.730  52.9  17
1.722  53.2  15
1.547  59.8  14

Structure:
```
data_CeZn3P3
_cell_length_a 4.0387
_cell_length_b 4.0387
_cell_length_c 19.9119
_cell_angle_alpha 90.00
_cell_angle_beta 90.00
_cell_angle_gamma 120.00
_symmetry_space_group_name_H-M 'P 63/m m c'
_symmetry_Int_Tables_number 194
_symmetry_space_group_name_Hall '-P 6c 2c'
loop_
_atom_site_label
_atom_site_fract_x
_atom_site_fract_y
_atom_site_fract_z
Ce1 0.0000 0.0000 0.0000
Zn1 0.3333 0.6667 0.1286
Zn2 0.3333 0.6667 0.7500
P1 0.3333 0.6667 0.2500
P2 0.3333 0.6667 0.5865
```